# Dy7Ga5Hg
Simulated XRD peak list, λ = 1.5418 Å (Cu Kα). Input: a DFT-relaxed cell (GGA-PBE, Alexandria).
Kinematic intensities with the Lorentz-polarization factor, no thermal factor.

Structure:
```
Dy7Ga5Hg
1.0
-3.1289 5.0378 5.1406
3.1289 -5.0378 5.1406
3.1289 5.0378 -5.1406
Dy Ga Hg
7 5 1
direct
0.0000 0.0000 0.0000 Dy
0.3403 0.6591 0.6812 Dy
0.3723 0.3723 0.0000 Dy
0.4518 0.1309 0.3209 Dy
0.8100 0.1309 0.6791 Dy
0.8790 0.3790 0.5000 Dy
0.9779 0.6591 0.3188 Dy
0.1448 0.1449 0.4916 Ga
0.1448 0.6533 0.0000 Ga
0.3916 0.8916 0.5000 Ga
0.6533 0.1449 0.0000 Ga
0.6533 0.6533 0.5084 Ga
0.6850 0.6850 0.0000 Hg
```

Main lines, sorted by position (5° ≤ 2θ ≤ 70°):
| 2theta | d_spacing | I/Imax |
| --- | --- | --- |
| 28.53 | 3.129 | 49 |
| 29.72 | 3.006 | 37 |
| 30.20 | 2.959 | 57 |
| 34.75 | 2.581 | 25 |
| 34.96 | 2.567 | 100 |
| 38.12 | 2.361 | 67 |



# Dy2HoGa
Simulated XRD peak list, λ = 1.5418 Å (Cu Kα). Input: a DFT-relaxed cell (GGA-PBE, Alexandria).
Kinematic intensities with the Lorentz-polarization factor, no thermal factor.

Structure:
```
Dy2HoGa
1.0
1.8021 1.0405 10.1520
-1.8021 1.0405 10.1520
0.0000 -2.0809 10.1520
Dy Ho Ga
2 1 1
direct
0.0000 0.0000 0.0000 Dy
0.1905 0.1905 0.1905 Dy
0.4288 0.4288 0.4288 Ho
0.5949 0.5949 0.5949 Ga
```

Main lines, sorted by position (5° ≤ 2θ ≤ 70°):
| 2theta | d_spacing | I/Imax |
| --- | --- | --- |
| 30.96 | 2.888 | 36 |
| 32.22 | 2.778 | 100 |
| 35.38 | 2.537 | 59 |
| 41.42 | 2.180 | 22 |
| 50.65 | 1.802 | 36 |
| 63.29 | 1.469 | 30 |



# DyHo3Ga3
Simulated XRD peak list, λ = 1.5418 Å (Cu Kα). Input: a DFT-relaxed cell (GGA-PBE, Alexandria).
Kinematic intensities with the Lorentz-polarization factor, no thermal factor.

Structure:
```
DyHo3Ga3
1.0
9.0789 0.0000 0.0000
-4.5394 7.8625 0.0000
0.0000 0.0000 4.7844
Dy Ho Ga
2 6 6
direct
0.3333 0.6667 0.2500 Dy
0.6667 0.3333 0.7500 Dy
0.0143 0.2535 0.7500 Ho
0.2392 0.9857 0.7500 Ho
0.2535 0.2392 0.2500 Ho
0.7465 0.7608 0.7500 Ho
0.7608 0.0143 0.2500 Ho
0.9857 0.7465 0.2500 Ho
0.0585 0.6086 0.7500 Ga
0.3914 0.4499 0.7500 Ga
0.4499 0.0585 0.2500 Ga
0.5501 0.9415 0.7500 Ga
0.6086 0.5501 0.2500 Ga
0.9415 0.3914 0.2500 Ga
```

Main lines, sorted by position (5° ≤ 2θ ≤ 70°):
| 2theta | d_spacing | I/Imax |
| --- | --- | --- |
| 27.08 | 3.293 | 18 |
| 29.41 | 3.037 | 18 |
| 30.07 | 2.972 | 26 |
| 35.56 | 2.524 | 100 |
| 37.60 | 2.392 | 25 |
| 66.54 | 1.405 | 16 |



# Dy3HoGa4
Simulated XRD peak list, λ = 1.5418 Å (Cu Kα). Input: a DFT-relaxed cell (GGA-PBE, Alexandria).
Kinematic intensities with the Lorentz-polarization factor, no thermal factor.

Structure:
```
Dy3HoGa4
1.0
2.5188 1.4542 8.2500
-2.5188 1.4542 8.2500
0.0000 -2.9084 8.2500
Dy Ho Ga
3 1 4
direct
0.0000 0.0000 0.0000 Dy
0.2499 0.2499 0.2499 Dy
0.7501 0.7501 0.7501 Dy
0.5000 0.5000 0.5000 Ho
0.1252 0.1252 0.1252 Ga
0.3752 0.3752 0.3752 Ga
0.6248 0.6248 0.6248 Ga
0.8748 0.8748 0.8748 Ga
```

Main lines, sorted by position (5° ≤ 2θ ≤ 70°):
| 2theta | d_spacing | I/Imax |
| --- | --- | --- |
| 24.97 | 3.565 | 17 |
| 35.61 | 2.521 | 100 |
| 51.24 | 1.783 | 18 |
| 57.83 | 1.595 | 7 |
| 63.85 | 1.458 | 9 |
| 64.00 | 1.455 | 27 |



# DyHo8Ga6
Simulated XRD peak list, λ = 1.5418 Å (Cu Kα). Input: a DFT-relaxed cell (GGA-PBE, Alexandria).
Kinematic intensities with the Lorentz-polarization factor, no thermal factor.

Structure:
```
DyHo8Ga6
1.0
4.2994 2.4822 6.1385
-4.2994 2.4822 6.1385
0.0000 -4.9645 6.1385
Dy Ho Ga
1 8 6
direct
0.0000 0.0000 0.0000 Dy
0.1114 0.4454 0.7779 Ho
0.2221 0.8886 0.5546 Ho
0.3334 0.3334 0.3334 Ho
0.4454 0.7779 0.1114 Ho
0.5546 0.2221 0.8886 Ho
0.6666 0.6666 0.6666 Ho
0.7779 0.1114 0.4454 Ho
0.8886 0.5546 0.2221 Ho
0.0596 0.7257 0.3933 Ga
0.2743 0.6067 0.9404 Ga
0.3933 0.0596 0.7257 Ga
0.6067 0.9404 0.2743 Ga
0.7257 0.3933 0.0596 Ga
0.9404 0.2743 0.6067 Ga
```

Main lines, sorted by position (5° ≤ 2θ ≤ 70°):
| 2theta | d_spacing | I/Imax |
| --- | --- | --- |
| 25.29 | 3.522 | 75 |
| 35.95 | 2.498 | 100 |
| 36.19 | 2.482 | 98 |
| 51.93 | 1.761 | 35 |
| 64.47 | 1.445 | 18 |
| 64.93 | 1.436 | 35 |



# Dy2HoGa4
Simulated XRD peak list, λ = 1.5418 Å (Cu Kα). Input: a DFT-relaxed cell (GGA-PBE, Alexandria).
Kinematic intensities with the Lorentz-polarization factor, no thermal factor.

Structure:
```
Dy2HoGa4
1.0
-2.0622 2.1201 9.1087
2.0622 -2.1201 9.1087
2.0622 2.1201 -9.1087
Dy Ho Ga
2 1 4
direct
0.1848 0.1848 0.0000 Dy
0.8152 0.8152 0.0000 Dy
0.0000 0.5000 0.5000 Ho
0.3537 0.3537 0.0000 Ga
0.4333 0.9333 0.5000 Ga
0.5667 0.0667 0.5000 Ga
0.6463 0.6463 0.0000 Ga
```

Main lines, sorted by position (5° ≤ 2θ ≤ 70°):
| 2theta | d_spacing | I/Imax |
| --- | --- | --- |
| 26.12 | 3.412 | 24 |
| 31.82 | 2.812 | 100 |
| 32.40 | 2.763 | 51 |
| 41.01 | 2.201 | 27 |
| 42.66 | 2.119 | 41 |
| 43.90 | 2.062 | 23 |



# DyHo2Ga
Simulated XRD peak list, λ = 1.5418 Å (Cu Kα). Input: a DFT-relaxed cell (GGA-PBE, Alexandria).
Kinematic intensities with the Lorentz-polarization factor, no thermal factor.

Structure:
```
DyHo2Ga
1.0
1.8141 -6.3314 0.0000
1.8141 6.3314 0.0000
0.0000 0.0000 9.5763
Dy Ho Ga
2 4 2
direct
0.0535 0.9465 0.7500 Dy
0.9465 0.0535 0.2500 Dy
0.3647 0.6353 0.5464 Ho
0.3647 0.6353 0.9536 Ho
0.6353 0.3647 0.0464 Ho
0.6353 0.3647 0.4536 Ho
0.2535 0.7465 0.2500 Ga
0.7465 0.2535 0.7500 Ga
```

Main lines, sorted by position (5° ≤ 2θ ≤ 70°):
| 2theta | d_spacing | I/Imax |
| --- | --- | --- |
| 31.38 | 2.850 | 55 |
| 31.74 | 2.819 | 94 |
| 32.54 | 2.751 | 53 |
| 33.92 | 2.643 | 100 |
| 38.22 | 2.355 | 23 |
| 58.73 | 1.572 | 26 |



# DyHoGa6
Simulated XRD peak list, λ = 1.5418 Å (Cu Kα). Input: a DFT-relaxed cell (GGA-PBE, Alexandria).
Kinematic intensities with the Lorentz-polarization factor, no thermal factor.

Structure:
```
DyHoGa6
1.0
6.2407 0.0000 0.0000
-3.1203 5.4046 0.0000
0.0000 0.0000 4.5916
Dy Ho Ga
1 1 6
direct
0.0000 0.0000 0.0000 Dy
0.6667 0.3333 0.5000 Ho
0.0380 0.5190 0.0000 Ga
0.1859 0.3719 0.5000 Ga
0.1859 0.8141 0.5000 Ga
0.4810 0.5190 0.0000 Ga
0.4810 0.9620 0.0000 Ga
0.6281 0.8141 0.5000 Ga
```

Main lines, sorted by position (5° ≤ 2θ ≤ 70°):
| 2theta | d_spacing | I/Imax |
| --- | --- | --- |
| 25.45 | 3.499 | 25 |
| 33.15 | 2.702 | 25 |
| 38.66 | 2.329 | 100 |
| 39.24 | 2.296 | 23 |
| 52.29 | 1.750 | 14 |
| 59.22 | 1.560 | 16 |



# Dy12InGa6
Simulated XRD peak list, λ = 1.5418 Å (Cu Kα). Input: a DFT-relaxed cell (GGA-PBE, Alexandria).
Kinematic intensities with the Lorentz-polarization factor, no thermal factor.

Structure:
```
Dy12InGa6
1.0
-5.0356 5.0356 5.0356
5.0356 -5.0356 5.0356
5.0356 5.0356 -5.0356
Dy In Ga
12 1 6
direct
0.1039 0.8108 0.2931 Dy
0.1892 0.2931 0.4823 Dy
0.1892 0.7069 0.8961 Dy
0.2931 0.1039 0.8108 Dy
0.2931 0.4823 0.1892 Dy
0.4823 0.1892 0.2931 Dy
0.5177 0.8108 0.7069 Dy
0.7069 0.5177 0.8108 Dy
0.7069 0.8961 0.1892 Dy
0.8108 0.2931 0.1039 Dy
0.8108 0.7069 0.5177 Dy
0.8961 0.1892 0.7069 Dy
0.0000 0.0000 0.0000 In
0.1225 0.6225 0.5000 Ga
0.3775 0.5000 0.8775 Ga
0.5000 0.1225 0.6225 Ga
0.5000 0.8775 0.3775 Ga
0.6225 0.5000 0.1225 Ga
0.8775 0.3775 0.5000 Ga
```

Main lines, sorted by position (5° ≤ 2θ ≤ 70°):
| 2theta | d_spacing | I/Imax |
| --- | --- | --- |
| 28.02 | 3.185 | 29 |
| 30.75 | 2.907 | 49 |
| 33.29 | 2.692 | 100 |
| 35.66 | 2.518 | 21 |
| 53.02 | 1.727 | 33 |
| 56.31 | 1.634 | 34 |



# DyInGa4
Simulated XRD peak list, λ = 1.5418 Å (Cu Kα). Input: a DFT-relaxed cell (GGA-PBE, Alexandria).
Kinematic intensities with the Lorentz-polarization factor, no thermal factor.

Structure:
```
DyInGa4
1.0
0.0000 3.9538 3.9538
3.9538 0.0000 3.9538
3.9538 3.9538 0.0000
Dy In Ga
1 1 4
direct
0.0000 0.0000 0.0000 Dy
0.2500 0.2500 0.2500 In
0.1239 0.6254 0.6254 Ga
0.6254 0.1239 0.6254 Ga
0.6254 0.6254 0.1239 Ga
0.6254 0.6254 0.6254 Ga
```

Main lines, sorted by position (5° ≤ 2θ ≤ 70°):
| 2theta | d_spacing | I/Imax |
| --- | --- | --- |
| 32.01 | 2.796 | 50 |
| 37.73 | 2.384 | 100 |
| 39.48 | 2.283 | 22 |
| 57.06 | 1.614 | 19 |
| 60.87 | 1.522 | 32 |
| 66.94 | 1.398 | 25 |



# DyInGa2S6
Simulated XRD peak list, λ = 1.5418 Å (Cu Kα). Input: a DFT-relaxed cell (GGA-PBE, Alexandria).
Kinematic intensities with the Lorentz-polarization factor, no thermal factor.

Structure:
```
DyInGa2S6
1.0
6.1713 -5.8529 0.0000
6.1713 5.8529 0.0000
-1.3526 0.0000 6.4523
Dy In Ga S
2 2 4 12
direct
0.0984 0.9016 0.7500 Dy
0.9016 0.0984 0.2500 Dy
0.2833 0.7167 0.2500 In
0.7167 0.2833 0.7500 In
0.2257 0.3960 0.7130 Ga
0.3960 0.2257 0.2130 Ga
0.6040 0.7743 0.7870 Ga
0.7743 0.6040 0.2870 Ga
0.0259 0.2089 0.6479 S
0.1269 0.6183 0.8960 S
0.2089 0.0259 0.1479 S
0.2783 0.4400 0.3910 S
0.3817 0.8731 0.6040 S
0.4400 0.2783 0.8910 S
0.5600 0.7217 0.1090 S
0.6183 0.1269 0.3960 S
0.7217 0.5600 0.6090 S
0.7911 0.9741 0.8521 S
0.8731 0.3817 0.1040 S
0.9741 0.7911 0.3521 S
```

Main lines, sorted by position (5° ≤ 2θ ≤ 70°):
| 2theta | d_spacing | I/Imax |
| --- | --- | --- |
| 23.36 | 3.808 | 40 |
| 23.55 | 3.777 | 42 |
| 26.93 | 3.311 | 100 |
| 27.65 | 3.226 | 35 |
| 47.50 | 1.914 | 30 |
| 48.82 | 1.866 | 31 |



# Sm2Dy2InGa4
Simulated XRD peak list, λ = 1.5418 Å (Cu Kα). Input: a DFT-relaxed cell (GGA-PBE, Alexandria).
Kinematic intensities with the Lorentz-polarization factor, no thermal factor.

Structure:
```
Sm2Dy2InGa4
1.0
-3.5635 3.5635 4.6370
3.5635 -3.5635 4.6370
3.5635 3.5635 -4.6370
Sm Dy In Ga
2 2 1 4
direct
0.1867 0.1867 0.0000 Sm
0.8133 0.8133 0.0000 Sm
0.2500 0.7500 0.5000 Dy
0.7500 0.2500 0.5000 Dy
0.5000 0.5000 0.0000 In
0.2404 0.2404 0.4808 Ga
0.2404 0.7596 0.0000 Ga
0.7596 0.2404 0.0000 Ga
0.7596 0.7596 0.5192 Ga
```

Main lines, sorted by position (5° ≤ 2θ ≤ 70°):
| 2theta | d_spacing | I/Imax |
| --- | --- | --- |
| 24.99 | 3.563 | 36 |
| 31.55 | 2.836 | 29 |
| 31.67 | 2.826 | 100 |
| 35.63 | 2.520 | 77 |
| 40.66 | 2.219 | 36 |
| 61.51 | 1.507 | 37 |